Diffraction record for FeWClO4. The X-ray diffraction stick pattern is computed, not measured: it uses a structure optimized by DFT (GGA+U) and Cu Kα (weighted mean of Kα1 and Kα2).
No peak broadening, texture or thermal motion is included.

Largest 12 diffraction maxima, most intense first, 2θ = 10–90°:
index	2θ (°)	I_rel
1 1 1	24.4	1000
2 0 0	26.2	744
0 0 1	15.9	504
4 0 0	53.8	488
1 1 2	37.2	459
3 1 1	45.1	350
2 0 1	30.8	307
1 1 0	18.4	197
2 2 0	37.4	172
4 4 0	79.6	128
4 2 0	60.8	124
2 2 3	63.1	123

Structural model:
Cell lengths 6.8086, 6.8086, 5.5830 Å; angles 90.00, 90.00, 90.00 degrees
Fractional positions:
Fe  0.2500  0.2500  0.2299
Fe  0.7500  0.7500  0.7701
W  0.2500  0.7500  0.5000
W  0.7500  0.2500  0.5000
Cl  0.2500  0.2500  0.8285
Cl  0.7500  0.7500  0.1715
O  0.0336  0.7500  0.6888
O  0.2500  0.5336  0.3112
O  0.2500  0.9664  0.3112
O  0.4664  0.7500  0.6888
O  0.5336  0.2500  0.3112
O  0.7500  0.0336  0.6888
O  0.7500  0.4664  0.6888
O  0.9664  0.2500  0.3112